No. 1
Structure and calculated powder XRD pattern of Na6Mg2C4SO16 (a cell relaxed with GGA-PBE; λ = 1.5418 Å (Cu Kα)).
Kinematic intensities with the Lorentz-polarization factor, no thermal factor.

Cell and atoms:
a b c (Å): 14.227 14.227 14.227
angles (deg): 90.00 90.00 90.00
Space group Fd-3m (No. 227, origin choice 2)
Asymmetric unit:
Na  0.098  0.375  0.375
Mg  0.000  0.000  0.500
C  0.031  0.031  0.719
S  0.125  0.125  0.125
O  0.007  0.007  0.355
O  0.064  0.064  0.064

Largest 10 diffraction maxima, low angle first, 10 to 80 degrees two-theta:
2θ = 20.71°, I = 58
2θ = 27.32°, I = 14
2θ = 32.71°, I = 100
2θ = 35.70°, I = 50
2θ = 44.10°, I = 31
2θ = 45.53°, I = 24
2θ = 51.38°, I = 19
2θ = 55.98°, I = 20
2θ = 56.38°, I = 13
2θ = 75.62°, I = 13

---

No. 2
Structure and calculated powder XRD pattern of Mg6NbCO8 (a cell relaxed with GGA-PBE; λ = 1.5418 Å (Cu Kα)).
Kinematic intensities with the Lorentz-polarization factor, no thermal factor.

Cell and atoms:
```
data_Mg6NbCO8
_chemical_formula_sum 'Mg6 Nb1 C1 O8'
_symmetry_space_group_name_H-M 'P 4/m m m'
_symmetry_Int_Tables_number 123
_symmetry_space_group_name_Hall '-P 4 2'
_cell_length_a 4.190
_cell_length_b 4.190
_cell_length_c 9.317
_cell_angle_alpha 90.00
_cell_angle_beta 90.00
_cell_angle_gamma 90.00
loop_
_atom_site_label
_atom_site_fract_x
_atom_site_fract_y
_atom_site_fract_z
_atom_site_occupancy
Mg1 0.000 0.000 0.000 1
Mg2 0.000 0.500 0.238 1
Mg3 0.500 0.500 0.000 1
Nb1 0.000 0.000 0.500 1
C1 0.500 0.500 0.500 1
O1 0.000 0.000 0.255 1
O2 0.000 0.500 0.000 1
O3 0.000 0.500 0.500 1
O4 0.500 0.500 0.218 1
```

Largest 10 diffraction maxima, low angle first, 10 to 80 degrees two-theta:
2θ = 21.20°, I = 31
2θ = 23.28°, I = 61
2θ = 28.68°, I = 37
2θ = 35.93°, I = 48
2θ = 38.65°, I = 66
2θ = 43.18°, I = 100
2θ = 52.67°, I = 17
2θ = 59.33°, I = 64
2θ = 62.72°, I = 28
2θ = 76.15°, I = 27

---

No. 3
Structure and calculated powder XRD pattern of Mg6NbCO8 (a cell relaxed with GGA-PBE; λ = 1.5418 Å (Cu Kα)).
Kinematic intensities with the Lorentz-polarization factor, no thermal factor.

Cell and atoms:
```
data_Mg6NbCO8
_chemical_formula_sum 'Mg6 Nb1 C1 O8'
_symmetry_space_group_name_H-M 'P 4/m m m'
_symmetry_Int_Tables_number 123
_symmetry_space_group_name_Hall '-P 4 2'
_cell_length_a 4.224
_cell_length_b 4.224
_cell_length_c 9.316
_cell_angle_alpha 90.00
_cell_angle_beta 90.00
_cell_angle_gamma 90.00
loop_
_atom_site_label
_atom_site_fract_x
_atom_site_fract_y
_atom_site_fract_z
_atom_site_occupancy
Mg1 0.000 0.000 0.000 1
Mg2 0.000 0.000 0.500 1
Mg3 0.000 0.500 0.225 1
Nb1 0.500 0.500 0.500 1
C1 0.500 0.500 0.000 1
O1 0.000 0.000 0.243 1
O2 0.000 0.500 0.000 1
O3 0.000 0.500 0.500 1
O4 0.500 0.500 0.274 1
```

Largest 10 diffraction maxima, low angle first, 10 to 80 degrees two-theta:
2θ = 23.12°, I = 59
2θ = 31.46°, I = 35
2θ = 35.71°, I = 35
2θ = 38.66°, I = 60
2θ = 42.82°, I = 100
2θ = 49.22°, I = 15
2θ = 58.37°, I = 16
2θ = 59.05°, I = 59
2θ = 62.16°, I = 28
2θ = 75.65°, I = 25

---

No. 4
Structure and calculated powder XRD pattern of MgNi3C (a cell relaxed with GGA-PBE; λ = 1.5418 Å (Cu Kα)).
Kinematic intensities with the Lorentz-polarization factor, no thermal factor.

Cell and atoms:
```
data_MgNi3C
_chemical_formula_sum 'Mg1 Ni3 C1'
_symmetry_space_group_name_H-M 'P m -3 m'
_symmetry_Int_Tables_number 221
_symmetry_space_group_name_Hall '-P 4 2 3'
_cell_length_a 3.810
_cell_length_b 3.810
_cell_length_c 3.810
_cell_angle_alpha 90.00
_cell_angle_beta 90.00
_cell_angle_gamma 90.00
loop_
_atom_site_label
_atom_site_fract_x
_atom_site_fract_y
_atom_site_fract_z
_atom_site_occupancy
Mg1 0.000 0.000 0.000 1
Ni1 0.000 0.500 0.500 1
C1 0.500 0.500 0.500 1
```

Largest 9 diffraction maxima, low angle first, 10 to 80 degrees two-theta:
2θ = 23.35°, I = 20
2θ = 33.25°, I = 5
2θ = 41.03°, I = 100
2θ = 47.74°, I = 56
2θ = 53.80°, I = 7
2θ = 59.42°, I = 2
2θ = 69.82°, I = 33
2θ = 74.74°, I = 3
2θ = 79.56°, I = 1

---

Repeat the third record exactly.
Structure and calculated powder XRD pattern of Mg6NbCO8 (a cell relaxed with GGA-PBE; λ = 1.5418 Å (Cu Kα)).
Kinematic intensities with the Lorentz-polarization factor, no thermal factor.

Cell and atoms:
```
data_Mg6NbCO8
_chemical_formula_sum 'Mg6 Nb1 C1 O8'
_symmetry_space_group_name_H-M 'P 4/m m m'
_symmetry_Int_Tables_number 123
_symmetry_space_group_name_Hall '-P 4 2'
_cell_length_a 4.224
_cell_length_b 4.224
_cell_length_c 9.316
_cell_angle_alpha 90.00
_cell_angle_beta 90.00
_cell_angle_gamma 90.00
loop_
_atom_site_label
_atom_site_fract_x
_atom_site_fract_y
_atom_site_fract_z
_atom_site_occupancy
Mg1 0.000 0.000 0.000 1
Mg2 0.000 0.000 0.500 1
Mg3 0.000 0.500 0.225 1
Nb1 0.500 0.500 0.500 1
C1 0.500 0.500 0.000 1
O1 0.000 0.000 0.243 1
O2 0.000 0.500 0.000 1
O3 0.000 0.500 0.500 1
O4 0.500 0.500 0.274 1
```

Largest 10 diffraction maxima, low angle first, 10 to 80 degrees two-theta:
2θ = 23.12°, I = 59
2θ = 31.46°, I = 35
2θ = 35.71°, I = 35
2θ = 38.66°, I = 60
2θ = 42.82°, I = 100
2θ = 49.22°, I = 15
2θ = 58.37°, I = 16
2θ = 59.05°, I = 59
2θ = 62.16°, I = 28
2θ = 75.65°, I = 25